Li2MnCr2O6: theoretical PXRD pattern (Cu Kα (λ = 1.5418 Å)), based on a DFT-relaxed cell (GGA+U, Alexandria).
Lines closer than 0.1° are merged.

Most intense lines, 2θ = 15–90°, in order of falling intensity:
d/Å	2theta	Rel. int.	index
5.075	17.5	100	0 0 2
2.040	44.4	32	3 1 3
2.479	36.2	28	3 1 1
1.590	58.0	17	3 1 5
1.464	63.5	15	3 3 1
2.290	39.3	15	0 2 2
1.804	50.6	13	0 2 4
2.283	39.5	9	3 1 2
2.566	35.0	7	0 2 0
1.412	66.2	5	0 2 6

```
data_Li2MnCr2O6
_chemical_formula_sum 'Li8 Mn4 Cr8 O24'
_space_group_name_H-M_alt 'C m c e'
_space_group_IT_number 64
_space_group_name_Hall '-C 2ac 2'
_cell_length_a 8.844
_cell_length_b 5.133
_cell_length_c 10.150
_cell_angle_alpha 90.00
_cell_angle_beta 90.00
_cell_angle_gamma 90.00
loop_
_atom_site_label
_atom_site_type_symbol
_atom_site_fract_x
_atom_site_fract_y
_atom_site_fract_z
_atom_site_occupancy
Li1 Li 0.250 0.109 0.250 1
Mn1 Mn 0.000 0.000 0.000 1
Cr1 Cr 0.163 0.000 0.500 1
O1 O 0.000 0.180 0.599 1
O2 O 0.166 0.159 0.895 1
```